Diffraction record for Dy3Co6Sn5. The powder diffraction line list is calculated, not measured: it uses the GGA-PBE geometry in OQMD and CuKα.

Principal peaks in the range 10° ≤ 2θ ≤ 80°, most intense first:
- 35.52 deg, rel. 100
- 30.04 deg, rel. 72
- 34.88 deg, rel. 50
- 41.87 deg, rel. 46
- 37.91 deg, rel. 34
- 56.06 deg, rel. 28
- 46.47 deg, rel. 26
- 66.28 deg, rel. 26
- 42.23 deg, rel. 22
- 44.10 deg, rel. 18

```
Dy3Co6Sn5
1.0
-2.1575 4.8048 6.1607
2.1575 -4.8048 6.1607
2.1575 4.8048 -6.1607
Dy Co Sn
3 6 5
direct
0.0000 0.0000 0.0000
0.3176 0.3176 0.0000
0.6824 0.6824 0.0000
0.1656 0.8924 0.2731
0.3043 0.5000 0.8043
0.3807 0.1076 0.2731
0.6193 0.8924 0.7269
0.6957 0.5000 0.1957
0.8344 0.1076 0.7269
0.0179 0.6768 0.3412
0.3356 0.6768 0.6588
0.5000 0.0000 0.5000
0.6644 0.3232 0.3412
0.9821 0.3232 0.6588
```


Diffraction record for TbDyCoSn2. The powder diffraction line list is calculated, not measured: it uses the GGA-PBE geometry in OQMD and CuKα.

Principal peaks in the range 10° ≤ 2θ ≤ 80°, most intense first:
- 32.19 deg, rel. 100
- 32.07 deg, rel. 70
- 31.44 deg, rel. 62
- 38.79 deg, rel. 60
- 40.93 deg, rel. 56
- 32.93 deg, rel. 42
- 35.52 deg, rel. 39
- 63.35 deg, rel. 29
- 37.13 deg, rel. 24
- 25.53 deg, rel. 22

```
TbDyCoSn2
1.0
5.4501 -2.2051 0.0000
5.4501 2.2051 0.0000
-4.8697 0.0000 9.6844
Tb Dy Co Sn
2 2 2 4
direct
0.0036 0.0036 0.1688
0.9964 0.9964 0.8312
0.1869 0.1869 0.6245
0.8131 0.8131 0.3755
0.2776 0.2776 0.1693
0.7224 0.7224 0.8307
0.3366 0.3366 0.9449
0.4761 0.4761 0.6221
0.5239 0.5239 0.3779
0.6634 0.6634 0.0551
```


Diffraction record for TbDyCo2Sn4. The powder diffraction line list is calculated, not measured: it uses the GGA-PBE geometry in OQMD and CuKα.

Principal peaks in the range 10° ≤ 2θ ≤ 80°, most intense first:
- 32.27 deg, rel. 100
- 35.67 deg, rel. 28
- 40.49 deg, rel. 26
- 41.46 deg, rel. 24
- 31.94 deg, rel. 20
- 59.34 deg, rel. 17
- 55.82 deg, rel. 15
- 49.47 deg, rel. 12
- 68.49 deg, rel. 12
- 69.85 deg, rel. 11

```
TbDyCo2Sn4
1.0
4.4559 0.0000 0.0000
0.0000 4.3561 0.0000
0.0000 0.0000 18.2987
Tb Dy Co Sn
2 2 4 8
direct
0.0000 0.0000 0.0000
0.0000 0.5000 0.5000
0.5000 0.0000 0.7725
0.5000 0.5000 0.2725
0.0000 0.0000 0.2066
0.0000 0.5000 0.7066
0.5000 0.0000 0.5662
0.5000 0.5000 0.0662
0.0000 0.0000 0.3384
0.0000 0.0000 0.6350
0.0000 0.5000 0.1350
0.0000 0.5000 0.8384
0.5000 0.0000 0.1379
0.5000 0.0000 0.4342
0.5000 0.5000 0.6379
0.5000 0.5000 0.9342
```


Diffraction record for TbDyTlCo2. The powder diffraction line list is calculated, not measured: it uses the GGA-PBE geometry in OQMD and CuKα.

Principal peaks in the range 10° ≤ 2θ ≤ 80°, most intense first:
- 33.76 deg, rel. 100
- 34.58 deg, rel. 75
- 30.03 deg, rel. 53
- 60.01 deg, rel. 31
- 39.56 deg, rel. 30
- 47.43 deg, rel. 21
- 47.71 deg, rel. 21
- 56.85 deg, rel. 20
- 57.41 deg, rel. 18
- 63.65 deg, rel. 15

```
TbDyTlCo2
1.0
3.8125 0.0000 0.0000
0.0000 3.8335 0.0000
0.0000 0.0000 14.1607
Tb Dy Tl Co
2 2 2 4
direct
0.0000 0.0000 0.0000
0.0000 0.5000 0.5000
0.0000 0.0000 0.7199
0.0000 0.5000 0.2199
0.5000 0.0000 0.3597
0.5000 0.5000 0.8597
0.5000 0.0000 0.1544
0.5000 0.0000 0.5666
0.5000 0.5000 0.0666
0.5000 0.5000 0.6544
```


Diffraction record for Dy4CoTe2. The powder diffraction line list is calculated, not measured: it uses the GGA-PBE geometry in OQMD and CuKα.

Principal peaks in the range 10° ≤ 2θ ≤ 80°, most intense first:
- 32.18 deg, rel. 100
- 31.53 deg, rel. 94
- 32.94 deg, rel. 53
- 54.96 deg, rel. 39
- 34.68 deg, rel. 37
- 43.79 deg, rel. 34
- 28.44 deg, rel. 34
- 26.06 deg, rel. 28
- 44.70 deg, rel. 25
- 51.49 deg, rel. 25

```
Dy4CoTe2
1.0
7.9079 0.0000 0.0000
0.0000 12.1676 0.0000
0.0000 0.0000 4.1344
Dy Co Te
8 2 4
direct
0.1350 0.1935 0.0000
0.1960 0.9432 0.5000
0.3040 0.4432 0.5000
0.3650 0.6935 0.0000
0.6350 0.3065 0.0000
0.6960 0.5568 0.5000
0.8040 0.0568 0.5000
0.8650 0.8065 0.0000
0.0000 0.0000 0.0000
0.5000 0.5000 0.0000
0.0693 0.6648 0.5000
0.4307 0.1648 0.5000
0.5693 0.8352 0.5000
0.9307 0.3352 0.5000
```


Diffraction record for Dy3Tm4Co2Te2. The powder diffraction line list is calculated, not measured: it uses the GGA-PBE geometry in OQMD and CuKα.

Principal peaks in the range 10° ≤ 2θ ≤ 80°, most intense first:
- 34.31 deg, rel. 100
- 33.30 deg, rel. 85
- 34.88 deg, rel. 52
- 30.72 deg, rel. 52
- 59.53 deg, rel. 39
- 47.82 deg, rel. 30
- 34.59 deg, rel. 28
- 29.11 deg, rel. 25
- 37.07 deg, rel. 24
- 30.24 deg, rel. 23

```
Dy3Tm4Co2Te2
1.0
-1.9022 7.7802 4.7211
1.9022 -7.7802 4.7211
1.9022 7.7802 -4.7211
Dy Tm Co Te
3 4 2 2
direct
0.0000 0.0000 0.0000
0.4461 0.5803 0.8658
0.7146 0.5803 0.1342
0.0624 0.3766 0.6859
0.0778 0.7276 0.3502
0.3773 0.7276 0.6498
0.6907 0.3766 0.3141
0.3067 0.0702 0.2364
0.8338 0.0702 0.7636
0.3334 0.3334 0.0000
0.7352 0.2352 0.5000
```


Diffraction record for DyTm6Co2Te2. The powder diffraction line list is calculated, not measured: it uses the GGA-PBE geometry in OQMD and CuKα.

Principal peaks in the range 10° ≤ 2θ ≤ 80°, most intense first:
- 34.42 deg, rel. 100
- 33.51 deg, rel. 85
- 35.01 deg, rel. 55
- 30.83 deg, rel. 52
- 29.17 deg, rel. 39
- 59.70 deg, rel. 33
- 47.88 deg, rel. 30
- 34.74 deg, rel. 27
- 37.25 deg, rel. 22
- 30.38 deg, rel. 21

```
DyTm6Co2Te2
1.0
-1.8999 7.7466 4.6887
1.8999 -7.7466 4.6887
1.8999 7.7466 -4.6887
Dy Tm Co Te
1 6 2 2
direct
0.0000 0.0000 0.0000
0.0616 0.3759 0.6857
0.0797 0.7294 0.3503
0.3791 0.7294 0.6497
0.4464 0.5811 0.8653
0.6902 0.3759 0.3143
0.7159 0.5811 0.1347
0.3083 0.0702 0.2380
0.8322 0.0702 0.7620
0.3365 0.3365 0.0000
0.7324 0.2324 0.5000
```


Diffraction record for DyTl2Co. The powder diffraction line list is calculated, not measured: it uses the GGA-PBE geometry in OQMD and CuKα.

Principal peaks in the range 10° ≤ 2θ ≤ 80°, most intense first:
- 27.90 deg, rel. 100
- 36.72 deg, rel. 78
- 42.82 deg, rel. 50
- 60.87 deg, rel. 23
- 57.65 deg, rel. 21
- 74.43 deg, rel. 20
- 51.89 deg, rel. 19
- 61.79 deg, rel. 16
- 69.47 deg, rel. 16
- 41.12 deg, rel. 12

```
DyTl2Co
1.0
4.2236 0.0000 0.0000
-2.1118 3.6578 0.0000
0.0000 0.0000 6.5862
Dy Tl Co
1 2 1
direct
0.0000 0.0000 0.0000
0.3333 0.6667 0.6586
0.6667 0.3333 0.3441
0.3333 0.6667 0.1833
```